Record 1
Structure and theoretical powder XRD pattern of CdFeCu4Sn2Se8 (a structure optimized by DFT (GGA-PBE); copper Kα).
Intensities are scaled so that the largest is 100.

Principal peaks in the range 2θ = 10–90°, by angle:
2θ/deg  Rel. int.
26.58  100
43.86  25
44.21  47
52.03  30
52.64  13
63.77  8
70.86  11
80.87  15
81.60  6
86.72  7

Cell and atoms:
a b c (Å): 5.838 5.838 11.503
angles (deg): 90.00 90.00 90.00
Space group P-42m (No. 111)
One atom of each set of equivalent atoms:
Cd: 0.000 0.000 0.000 x1
Fe: 0.500 0.500 0.500 x1
Cu: 0.000 0.500 0.254 x4
Sn: 0.000 0.000 0.500 x1
Sn: 0.500 0.500 0.000 x1
Se: 0.253 0.253 0.143 x4
Se: 0.266 0.266 0.631 x4

***

Record 2
Structure and theoretical powder XRD pattern of CdFe4Cu10Sn5Se20 (a structure optimized by DFT (GGA-PBE); copper Kα).
Intensities are scaled so that the largest is 100.

Principal peaks in the range 2θ = 10–90°, by angle:
2θ/deg  Rel. int.
26.79  100
44.15  25
44.61  47
52.34  14
52.45  14
53.20  13
70.86  5
71.59  5
81.61  7
82.52  7

Cell and atoms:
a b c (Å): 12.773 5.795 25.887
angles (deg): 90.00 90.92 90.00
Space group C2 (No. 5)
One atom of each set of equivalent atoms:
Cd: 0.000 0.000 0.000 x2
Fe: 0.100 0.500 0.400 x4
Fe: 0.200 0.000 0.800 x4
Cu: 0.000 0.500 0.250 x4
Cu: 0.100 0.000 0.650 x4
Cu: 0.101 0.005 0.152 x4
Cu: 0.200 0.500 0.550 x4
Cu: 0.201 0.495 0.052 x4
Sn: 0.000 0.001 0.500 x2
Sn: 0.102 0.501 0.898 x4
Sn: 0.200 0.000 0.300 x4
Se: 0.039 0.271 0.327 x4
Se: 0.047 0.230 0.819 x4
Se: 0.053 0.730 0.581 x4
Se: 0.064 0.747 0.080 x4
Se: 0.139 0.770 0.727 x4
Se: 0.148 0.730 0.220 x4
Se: 0.161 0.271 0.473 x4
Se: 0.166 0.257 0.978 x4
Se: 0.240 0.269 0.128 x4
Se: 0.247 0.230 0.619 x4

***

Record 3
Structure and theoretical powder XRD pattern of Cd2GaCuS4 (a structure optimized by DFT (GGA-PBE); copper Kα).
Intensities are scaled so that the largest is 100.

Principal peaks in the range 2θ = 10–90°, by angle:
2θ/deg  Rel. int.
25.85  100
27.09  63
29.17  67
29.32  70
37.66  22
37.90  28
45.58  73
49.12  29
49.33  21
53.84  17

Cell and atoms:
a b c (Å): 14.807 3.979 6.896
angles (deg): 90.00 117.24 90.00
Space group Cm (No. 8)
One atom of each set of equivalent atoms:
Cd: 0.000 0.000 0.000 x2
Cd: 0.003 0.500 0.486 x2
Ga: 0.257 0.500 0.068 x2
Cu: 0.256 0.000 0.586 x2
S: 0.080 0.000 0.404 x2
S: 0.080 0.500 0.902 x2
S: 0.305 0.000 0.298 x2
S: 0.307 0.500 0.795 x2

***

Record 4
Structure and theoretical powder XRD pattern of Cd2GaCuTe4 (a structure optimized by DFT (GGA-PBE); copper Kα).
Intensities are scaled so that the largest is 100.

Principal peaks in the range 2θ = 10–90°, by angle:
2θ/deg  Rel. int.
24.30  100
40.20  75
47.46  14
47.56  32
58.22  9
63.96  18
72.98  7
73.10  16
78.36  10
86.79  4

Cell and atoms:
a b c (Å): 6.339 6.339 12.713
angles (deg): 90.00 90.00 90.00
Space group I-42m (No. 121)
One atom of each set of equivalent atoms:
Cd: 0.000 0.500 0.250 x4
Ga: 0.000 0.000 0.000 x2
Cu: 0.000 0.000 0.500 x2
Te: 0.247 0.247 0.388 x8

***

Record 5
Structure and theoretical powder XRD pattern of MnCdCu4Ge2Se8 (a structure optimized by DFT (GGA-PBE); copper Kα).
Intensities are scaled so that the largest is 100.

Principal peaks in the range 2θ = 10–90°, by angle:
2θ/deg  Rel. int.
25.40  100
25.76  53
26.87  87
28.80  69
37.32  35
44.55  44
45.21  79
48.66  86
52.79  25
53.29  23

Cell and atoms:
a b c (Å): 6.637 8.136 6.916
angles (deg): 90.00 90.22 90.00
Space group Pm (No. 6)
One atom of each set of equivalent atoms:
Mn: 0.000 0.000 0.000 x1
Cd: 0.501 0.500 0.320 x1
Cu: 0.001 0.248 0.485 x2
Cu: 0.497 0.248 0.837 x2
Ge: 0.004 0.500 0.983 x1
Ge: 0.504 0.000 0.333 x1
Se: 0.098 0.500 0.323 x1
Se: 0.132 0.255 0.817 x2
Se: 0.135 0.000 0.343 x1
Se: 0.617 0.000 0.999 x1
Se: 0.636 0.234 0.510 x2
Se: 0.638 0.500 0.958 x1

***

Record 6
Structure and theoretical powder XRD pattern of CdCu2GeTe4 (a structure optimized by DFT (GGA-PBE); copper Kα).
Intensities are scaled so that the largest is 100.

Principal peaks in the range 2θ = 10–90°, by angle:
2θ/deg  Rel. int.
24.95  100
41.06  25
41.44  47
48.65  31
49.32  13
59.47  8
66.06  11
75.07  14
75.86  6
80.29  6

Cell and atoms:
a b c (Å): 6.217 6.217 12.217
angles (deg): 90.00 90.00 90.00
Space group I-42m (No. 121)
One atom of each set of equivalent atoms:
Cd: 0.000 0.000 0.000 x2
Cu: 0.000 0.500 0.250 x4
Ge: 0.000 0.000 0.500 x2
Te: 0.237 0.237 0.362 x8